The following is a simulated X-ray powder pattern of CeSb2Pd2. It was derived from a crystal structure in the Materials Project, relaxed with PBE, using λ = 1.5418 Å (Cu Kα).
No peak broadening, texture or thermal motion is included.

Structure:
a = 4.674 Å, b = 4.674 Å, c = 10.471 Å
α = 90.00°, β = 90.00°, γ = 90.00°
Space group P4/nmm (No. 129, origin choice 2)
Symmetry-distinct sites (fractional):
Ce: 0.250 0.250 0.241 [2 per cell]
Sb: 0.250 0.250 0.871 [2 per cell]
Sb: 0.250 0.750 0.500 [2 per cell]
Pd: 0.250 0.250 0.625 [2 per cell]
Pd: 0.250 0.750 0.000 [2 per cell]

Main lines, sorted by position (2θ = 5–70°):
2θ (°)	intensity	hkl
27.0	7	1 1 0
32.0	100	1 1 2
38.5	48	2 0 0
44.1	19	1 1 4
47.6	14	1 0 5
50.9	20	2 1 3
55.6	16	2 2 0
59.9	9	1 1 6
62.8	13	2 1 5
65.6	20	3 1 2

=====

The following is a simulated X-ray powder pattern of Ce2Sb3Pd9. It was derived from a crystal structure in the Materials Project, relaxed with PBE, using λ = 1.5418 Å (Cu Kα).
No peak broadening, texture or thermal motion is included.

Structure:
a = 13.944 Å, b = 8.098 Å, c = 9.413 Å
α = 90.00°, β = 90.00°, γ = 90.00°
Space group Cmcm (No. 63)
Symmetry-distinct sites (fractional):
Ce: 0.154 0.173 0.250 [8 per cell]
Sb: 0.000 0.000 0.000 [4 per cell]
Sb: 0.177 0.500 0.000 [8 per cell]
Pd: 0.000 0.148 0.750 [4 per cell]
Pd: 0.000 0.331 0.037 [8 per cell]
Pd: 0.098 0.462 0.750 [8 per cell]
Pd: 0.172 0.172 0.590 [16 per cell]

Main lines, sorted by position (2θ = 5–70°):
2θ (°)	intensity	hkl
31.9	20	4 0 2
36.3	100	3 1 3
38.2	16	0 0 4
38.6	74	3 3 0
38.7	31	6 0 0
39.0	24	1 3 2
39.2	14	5 1 2
43.3	18	3 3 2
44.6	17	0 2 4
69.7	15	0 6 0

=====

The following is a simulated X-ray powder pattern of CeSbPd. It was derived from a crystal structure in the Materials Project, relaxed with PBE, using λ = 1.5418 Å (Cu Kα).
No peak broadening, texture or thermal motion is included.

Structure:
a = 4.6825 Å, b = 4.6825 Å, c = 7.6173 Å
α = 90.00°, β = 90.00°, γ = 120.00°
Space group P6_3mc (No. 186)
Symmetry-distinct sites (fractional):
Ce: 0.0000 0.0000 0.0000 [2 per cell]
Sb: 0.3333 0.6667 0.2324 [2 per cell]
Pd: 0.3333 0.6667 0.8207 [2 per cell]

Main lines, sorted by position (2θ = 5–70°):
2θ (°)	intensity	hkl
24.9	11	1 0 1
32.2	100	1 0 2
38.4	77	1 1 0
42.0	19	1 0 3
51.0	27	2 0 2
58.2	7	2 0 3
62.9	14	1 1 4
65.4	9	1 0 5
65.7	25	2 1 2
69.5	13	3 0 0

=====

The following is a simulated X-ray powder pattern of CeSb2Pd. It was derived from a crystal structure in the Materials Project, relaxed with PBE, using λ = 1.5418 Å (Cu Kα).
No peak broadening, texture or thermal motion is included.

Structure:
a = 4.435 Å, b = 4.435 Å, c = 9.799 Å
α = 90.00°, β = 90.00°, γ = 90.00°
Space group P4/nmm (No. 129, origin choice 2)
Symmetry-distinct sites (fractional):
Ce: 0.250 0.250 0.244 [2 per cell]
Sb: 0.250 0.250 0.836 [2 per cell]
Sb: 0.250 0.750 0.500 [2 per cell]
Pd: 0.250 0.750 0.000 [2 per cell]

Main lines, sorted by position (2θ = 5–70°):
2θ (°)	intensity	hkl
9.0	9	0 0 1
27.1	9	1 0 2
33.9	100	1 1 2
34.1	11	1 0 3
36.7	10	0 0 4
40.7	40	2 0 0
50.9	10	1 0 5
55.9	12	2 0 4
58.9	13	2 2 0
69.8	25	3 1 2

=====

The following is a simulated X-ray powder pattern of CeScPd6. It was derived from a crystal structure in the Materials Project, relaxed with PBE, using λ = 1.5418 Å (Cu Kα).
No peak broadening, texture or thermal motion is included.

Structure:
a = 4.092 Å, b = 4.092 Å, c = 8.147 Å
α = 90.00°, β = 90.00°, γ = 90.00°
Space group P4/mmm (No. 123)
Symmetry-distinct sites (fractional):
Ce: 0.000 0.000 0.000 [1 per cell]
Sc: 0.000 0.000 0.500 [1 per cell]
Pd: 0.000 0.500 0.256 [4 per cell]
Pd: 0.500 0.500 0.000 [1 per cell]
Pd: 0.500 0.500 0.500 [1 per cell]

Main lines, sorted by position (2θ = 5–70°):
2θ (°)	intensity	hkl
10.9	4	0 0 1
24.3	4	1 0 1
32.8	3	1 1 1
38.1	100	1 1 2
39.8	1	1 0 3
44.3	33	2 0 0
44.5	16	0 0 4
51.2	1	2 1 1
64.4	10	2 2 0
64.6	20	2 0 4

=====

The following is a simulated X-ray powder pattern of Ce3Si6Pd20. It was derived from a crystal structure in the Materials Project, relaxed with PBE, using λ = 1.5418 Å (Cu Kα).
No peak broadening, texture or thermal motion is included.

Structure:
a = 5.382 Å, b = 9.072 Å, c = 11.713 Å
α = 68.18°, β = 88.69°, γ = 79.71°
Space group P-1 (No. 2)
Symmetry-distinct sites (fractional):
Ce: 0.000 0.000 0.000 [1 per cell]
Ce: 0.336 0.618 0.756 [2 per cell]
Si: 0.098 0.604 0.206 [2 per cell]
Si: 0.207 0.028 0.623 [2 per cell]
Si: 0.376 0.984 0.291 [2 per cell]
Pd: 0.049 0.858 0.821 [2 per cell]
Pd: 0.119 0.481 0.610 [2 per cell]
Pd: 0.120 0.119 0.407 [2 per cell]
Pd: 0.141 0.382 0.965 [2 per cell]
Pd: 0.175 0.769 0.428 [2 per cell]
Pd: 0.180 0.164 0.769 [2 per cell]
Pd: 0.357 0.620 0.031 [2 per cell]
Pd: 0.367 0.787 0.192 [2 per cell]
Pd: 0.387 0.480 0.398 [2 per cell]
Pd: 0.462 0.100 0.079 [2 per cell]

Main lines, sorted by position (2θ = 5–70°):
2θ (°)	intensity	hkl
10.7	49	0 1 1
18.2	48	1 1 0
31.9	50	1 3 1
36.5	71	0 3 -1
36.8	79	0 3 4
37.4	89	-1 2 4
38.7	100	0 2 -3
41.6	52	0 0 5
43.2	46	2 2 -2
43.6	40	2 1 -3

=====

The following is a simulated X-ray powder pattern of Ce2Si5Pd3. It was derived from a crystal structure in the Materials Project, relaxed with PBE, using λ = 1.5418 Å (Cu Kα).
No peak broadening, texture or thermal motion is included.

Structure:
a = 9.967 Å, b = 11.851 Å, c = 6.033 Å
α = 90.00°, β = 90.00°, γ = 90.00°
Space group Ibam (No. 72)
Symmetry-distinct sites (fractional):
Ce: 0.234 0.128 0.000 [8 per cell]
Si: 0.000 0.000 0.250 [4 per cell]
Si: 0.000 0.274 0.250 [8 per cell]
Si: 0.149 0.386 0.000 [8 per cell]
Pd: 0.000 0.500 0.250 [4 per cell]
Pd: 0.109 0.138 0.500 [8 per cell]

Main lines, sorted by position (2θ = 5–70°):
2θ (°)	intensity	hkl
24.2	22	1 3 0
29.6	21	0 0 2
30.2	20	0 4 0
31.9	20	1 1 2
34.3	100	3 2 1
34.8	42	2 0 2
35.2	40	2 4 0
42.8	63	0 4 2
55.6	28	3 2 3
56.3	22	3 6 1

=====

The following is a simulated X-ray powder pattern of Ce3Si6Pd20. It was derived from a crystal structure in the Materials Project, relaxed with PBE, using λ = 1.5418 Å (Cu Kα).
No peak broadening, texture or thermal motion is included.

Structure:
a = 12.361 Å, b = 12.361 Å, c = 12.361 Å
α = 90.00°, β = 90.00°, γ = 90.00°
Space group Fm-3m (No. 225)
Symmetry-distinct sites (fractional):
Ce: 0.000 0.000 0.000 [4 per cell]
Ce: 0.250 0.250 0.250 [8 per cell]
Si: 0.000 0.000 0.268 [24 per cell]
Pd: 0.000 0.173 0.173 [48 per cell]
Pd: 0.116 0.116 0.384 [32 per cell]

Main lines, sorted by position (2θ = 5–70°):
2θ (°)	intensity	hkl
32.4	22	4 2 0
35.6	31	4 2 2
37.8	100	3 3 3
41.3	30	4 4 0
43.3	25	5 3 1
43.9	10	6 0 0
48.9	11	6 2 2
61.9	7	6 4 4
63.9	28	6 6 0
65.4	14	5 5 5

=====

The following is a simulated X-ray powder pattern of Ce3Si6Pd20. It was derived from a crystal structure in the Materials Project, relaxed with PBE, using λ = 1.5418 Å (Cu Kα).
No peak broadening, texture or thermal motion is included.

Structure:
a = 5.522 Å, b = 8.105 Å, c = 11.710 Å
α = 105.94°, β = 92.53°, γ = 99.09°
Space group P-1 (No. 2)
Symmetry-distinct sites (fractional):
Ce: 0.000 0.000 0.000 [1 per cell]
Ce: 0.386 0.356 0.765 [2 per cell]
Si: 0.096 0.428 0.224 [2 per cell]
Si: 0.149 0.005 0.599 [2 per cell]
Si: 0.439 0.998 0.300 [2 per cell]
Pd: 0.049 0.818 0.172 [2 per cell]
Pd: 0.121 0.851 0.751 [2 per cell]
Pd: 0.153 0.515 0.613 [2 per cell]
Pd: 0.173 0.814 0.404 [2 per cell]
Pd: 0.195 0.636 0.939 [2 per cell]
Pd: 0.254 0.189 0.458 [2 per cell]
Pd: 0.300 0.382 0.037 [2 per cell]
Pd: 0.356 0.522 0.407 [2 per cell]
Pd: 0.407 0.232 0.215 [2 per cell]
Pd: 0.485 0.092 0.913 [2 per cell]

Main lines, sorted by position (2θ = 5–70°):
2θ (°)	intensity	hkl
31.8	44	0 2 2
33.8	38	0 2 -4
35.0	60	1 -3 1
35.4	58	1 -1 4
37.0	92	2 1 0
38.1	100	0 2 3
38.3	93	1 2 -4
41.3	88	-2 1 3
42.0	37	-2 2 2
43.6	49	2 -3 1

=====

The following is a simulated X-ray powder pattern of CeSiPd2. It was derived from a crystal structure in the Materials Project, relaxed with PBE, using λ = 1.5418 Å (Cu Kα).
No peak broadening, texture or thermal motion is included.

Structure:
a = 7.699 Å, b = 6.876 Å, c = 5.622 Å
α = 90.00°, β = 90.00°, γ = 90.00°
Space group Pnma (No. 62)
Symmetry-distinct sites (fractional):
Ce: 0.033 0.250 0.147 [4 per cell]
Si: 0.122 0.750 0.346 [4 per cell]
Pd: 0.175 0.050 0.594 [8 per cell]

Main lines, sorted by position (2θ = 5–70°):
2θ (°)	intensity	hkl
31.0	50	2 1 1
32.7	54	1 2 1
34.0	46	1 0 2
35.0	65	2 2 0
36.5	68	1 1 2
38.6	100	3 0 1
42.6	24	0 3 1
43.2	24	1 2 2
44.3	31	1 3 1
63.7	26	3 3 2

=====

The following is a simulated X-ray powder pattern of Ce3Si6Pd20. It was derived from a crystal structure in the Materials Project, relaxed with PBE, using λ = 1.5418 Å (Cu Kα).
No peak broadening, texture or thermal motion is included.

Structure:
a = 12.534 Å, b = 12.534 Å, c = 12.534 Å
α = 90.00°, β = 90.00°, γ = 90.00°
Space group Fm-3m (No. 225)
Symmetry-distinct sites (fractional):
Ce: 0.000 0.000 0.000 [4 per cell]
Ce: 0.250 0.250 0.250 [8 per cell]
Si: 0.000 0.000 0.252 [24 per cell]
Pd: 0.000 0.174 0.326 [48 per cell]
Pd: 0.124 0.124 0.124 [32 per cell]

Main lines, sorted by position (2θ = 5–70°):
2θ (°)	intensity	hkl
31.1	28	3 3 1
31.9	26	4 2 0
35.1	55	4 2 2
37.3	100	3 3 3
40.7	59	4 4 0
42.7	91	5 3 1
43.3	23	6 0 0
48.2	20	6 2 2
62.9	45	6 6 0
68.2	29	7 5 3